Record 1
Simulated powder X-ray diffraction pattern
Compound: Nd8Dy5Y
Radiation: Cu Ka
Structure: a PBE-relaxed structure
Lines closer than 0.1° are merged.

Principal peaks in the range 10 to 80 degrees two-theta, most intense first:
33.20°, I 1000
29.04°, I 710
28.87°, I 614
27.50°, I 485
34.37°, I 455
33.94°, I 367
61.78°, I 300
31.26°, I 242
54.18°, I 220
60.19°, I 168

Atomic structure:
```
Nd8Dy5Y
1.0
-4.8615 4.8615 5.1613
4.8615 -4.8615 5.1613
4.8615 4.8615 -5.1613
Nd Dy Y
8 5 1
Direct
0.1740 0.4084 0.5895
0.3273 0.2232 0.2426
0.4155 0.8260 0.2344
0.5916 0.1811 0.7656
0.7768 0.0194 0.1041
0.8189 0.5845 0.4105
0.9153 0.6727 0.8959
0.9806 0.0847 0.7574
0.0686 0.4716 0.1865
0.1179 0.9314 0.4030
0.2851 0.8821 0.8135
0.5284 0.7149 0.5970
0.7500 0.2500 0.5000
0.5000 0.5000 0.0000
```

***

Record 2
Simulated powder X-ray diffraction pattern
Compound: NdDy2Y6
Radiation: Cu Ka
Structure: a PBE-relaxed structure
Lines closer than 0.1° are merged.

Principal peaks in the range 10 to 80 degrees two-theta, most intense first:
31.78°, I 1000
31.39°, I 899
31.16°, I 488
31.59°, I 468
44.97°, I 321
62.64°, I 277
56.63°, I 178
55.83°, I 160
45.58°, I 155
55.59°, I 149

Atomic structure:
```
NdDy2Y6
1.0
10.8517 -4.8466 0.0000
10.8517 4.8466 0.0000
-1.5131 0.0000 5.5382
Nd Dy Y
2 4 12
Direct
0.2499 0.7501 0.7500
0.7501 0.2499 0.2500
0.1677 0.3322 0.0341
0.3322 0.1677 0.5341
0.6678 0.8323 0.4659
0.8323 0.6678 0.9659
0.0022 0.1666 0.8064
0.0833 0.5832 0.5834
0.1666 0.0022 0.3064
0.3335 0.4978 0.1381
0.4168 0.9167 0.9166
0.4978 0.3335 0.6381
0.5022 0.6665 0.3619
0.5832 0.0833 0.0834
0.6665 0.5022 0.8619
0.8334 0.9978 0.6936
0.9167 0.4168 0.4166
0.9978 0.8334 0.1936
```

***

Record 3
Simulated powder X-ray diffraction pattern
Compound: Nd2DyY
Radiation: Cu Ka
Structure: a PBE-relaxed structure
Lines closer than 0.1° are merged.

Principal peaks in the range 10 to 80 degrees two-theta, most intense first:
32.02°, I 1000
32.14°, I 492
30.75°, I 379
55.50°, I 313
42.09°, I 235
27.99°, I 235
59.59°, I 225
49.70°, I 193
60.20°, I 162
28.13°, I 118

Atomic structure:
```
Nd2DyY
1.0
5.8158 0.0000 0.0000
0.0000 7.3735 0.0000
0.0000 0.0000 6.3447
Nd Dy Y
4 2 2
Direct
0.2500 0.0001 0.1681
0.2500 0.4999 0.1681
0.7500 0.9999 0.8319
0.7500 0.5001 0.8319
0.2500 0.2500 0.6667
0.7500 0.7500 0.3333
0.2500 0.7500 0.6637
0.7500 0.2500 0.3363
```

***

Record 4
Simulated powder X-ray diffraction pattern
Compound: NdDy5Y3
Radiation: Cu Ka
Structure: a PBE-relaxed structure
Lines closer than 0.1° are merged.

Principal peaks in the range 10 to 80 degrees two-theta, most intense first:
31.74°, I 1000
32.15°, I 762
31.44°, I 761
34.29°, I 716
32.31°, I 603
36.87°, I 458
16.10°, I 324
28.11°, I 310
29.96°, I 253
27.99°, I 233

Atomic structure:
```
NdDy5Y3
1.0
9.1637 -3.1877 0.0000
9.1637 3.1877 0.0000
-4.3578 0.0000 10.4541
Nd Dy Y
2 10 6
Direct
0.1387 0.8613 0.7500
0.8613 0.1387 0.2500
0.1292 0.5329 0.7881
0.1488 0.5289 0.4870
0.3938 0.6062 0.2500
0.4671 0.8708 0.7119
0.4711 0.8512 0.0130
0.5289 0.1488 0.9870
0.5329 0.1292 0.2881
0.6062 0.3938 0.7500
0.8512 0.4711 0.5130
0.8708 0.4671 0.2119
0.0000 0.0000 0.0000
0.0000 0.0000 0.5000
0.0053 0.6554 0.1297
0.3446 0.9947 0.3703
0.6554 0.0053 0.6297
0.9947 0.3446 0.8703
```

***

Record 5
Simulated powder X-ray diffraction pattern
Compound: Nd2DyY6
Radiation: Cu Ka
Structure: a PBE-relaxed structure
Lines closer than 0.1° are merged.

Principal peaks in the range 10 to 80 degrees two-theta, most intense first:
30.27°, I 1000
31.57°, I 836
37.44°, I 503
30.62°, I 396
55.40°, I 315
50.40°, I 218
49.12°, I 182
28.09°, I 149
69.50°, I 135
60.69°, I 130

Atomic structure:
```
Nd2DyY6
1.0
8.3038 -5.8391 0.0000
8.3038 5.8391 0.0000
-0.7119 0.0000 6.0769
Nd Dy Y
4 2 12
Direct
0.0661 0.2692 0.0778
0.2692 0.0661 0.5778
0.7308 0.9339 0.4222
0.9339 0.7308 0.9222
0.4013 0.5987 0.7500
0.5987 0.4013 0.2500
0.0908 0.8133 0.4862
0.1543 0.4235 0.6458
0.1867 0.9092 0.0138
0.2465 0.5231 0.1796
0.4235 0.1543 0.1458
0.4769 0.7535 0.3204
0.5231 0.2465 0.6796
0.5765 0.8457 0.8542
0.7535 0.4769 0.8204
0.8133 0.0908 0.9862
0.8457 0.5765 0.3542
0.9092 0.1867 0.5138
```

***

Record 6
Simulated powder X-ray diffraction pattern
Compound: Nd4Dy4Y
Radiation: Cu Ka
Structure: a PBE-relaxed structure
Lines closer than 0.1° are merged.

Principal peaks in the range 10 to 80 degrees two-theta, most intense first:
30.32°, I 1000
35.17°, I 450
30.46°, I 329
50.72°, I 238
60.15°, I 238
35.24°, I 223
50.49°, I 161
60.04°, I 143
60.28°, I 142
63.10°, I 82

Atomic structure:
```
Nd4Dy4Y
1.0
6.2297 0.0000 0.0000
1.0483 6.1698 0.0000
1.0101 1.9195 7.7667
Nd Dy Y
4 4 1
Direct
0.0559 0.2770 0.3876
0.1678 0.8338 0.1651
0.8322 0.1662 0.8349
0.9441 0.7230 0.6124
0.2792 0.3903 0.9443
0.3903 0.9444 0.7224
0.6097 0.0556 0.2776
0.7208 0.6097 0.0557
0.5000 0.5000 0.5000
```

***

Record 7
Simulated powder X-ray diffraction pattern
Compound: Nd2Dy3Y7
Radiation: Cu Ka
Structure: a PBE-relaxed structure
Lines closer than 0.1° are merged.

Principal peaks in the range 10 to 80 degrees two-theta, most intense first:
33.53°, I 1000
30.50°, I 562
31.40°, I 401
30.13°, I 299
56.15°, I 260
28.31°, I 239
54.78°, I 197
34.41°, I 177
60.19°, I 170
42.09°, I 162

Atomic structure:
```
Nd2Dy3Y7
1.0
2.9310 -18.9158 0.0000
2.9310 18.9158 0.0000
0.0000 0.0000 3.6119
Nd Dy Y
2 3 7
Direct
0.1752 0.8248 0.0000
0.8248 0.1752 0.0000
0.3512 0.6488 0.5000
0.5000 0.5000 0.5000
0.6488 0.3512 0.5000
0.0000 0.0000 0.0000
0.0886 0.9114 0.5000
0.2715 0.7285 0.0000
0.4281 0.5719 0.0000
0.5719 0.4281 0.0000
0.7285 0.2715 0.0000
0.9114 0.0886 0.5000
```

***

Record 8
Simulated powder X-ray diffraction pattern
Compound: NdDy6Y2
Radiation: Cu Ka
Structure: a PBE-relaxed structure
Lines closer than 0.1° are merged.

Principal peaks in the range 10 to 80 degrees two-theta, most intense first:
31.50°, I 1000
40.75°, I 281
49.25°, I 204
20.05°, I 177
37.11°, I 165
29.15°, I 151
32.39°, I 136
27.84°, I 128
44.93°, I 126
59.64°, I 120

Atomic structure:
```
NdDy6Y2
1.0
7.4007 0.0000 0.0000
-3.7004 6.4092 0.0000
0.0000 0.0000 6.1271
Nd Dy Y
1 6 2
Direct
0.0000 0.0000 0.0000
0.1872 0.3743 0.2987
0.1872 0.8128 0.2987
0.3743 0.1872 0.7013
0.6257 0.8128 0.2987
0.8128 0.1872 0.7013
0.8128 0.6257 0.7013
0.3333 0.6667 0.7922
0.6667 0.3333 0.2078
```